Structure and theoretical X-ray powder pattern of Li2V3NiO8 (a PBE+U-relaxed structure; Cu Kα, 1.54184 Å).

Atomic structure:
Lattice parameters (Å, degrees): 5.8845 5.8845 9.7189 90.00 90.00 120.00
Space group P31c (No. 159)
Symmetry-distinct sites (fractional):
Li: 0.0000 0.0000 0.0000
Li: 0.3333 0.6667 0.3987
V: 0.1511 0.8121 0.7174
Ni: 0.3333 0.6667 0.9959
O: 0.0000 0.0000 0.3156
O: 0.0363 0.5328 0.8354
O: 0.1441 0.3192 0.1114
O: 0.3333 0.6667 0.6042

Principal peaks in the range 10 to 90 degrees two-theta, by intensity:
Position (°2θ)	Rel. int.
19.67	100
35.67	68
18.26	54
45.28	51
59.85	48
36.45	41
32.76	39
39.95	38